Record 1
The following is a calculated powder XRD pattern of MgSb2O4. It was derived from a crystal structure in the Materials Project, relaxed with GGA-PBE, using λ = 1.5418 Å (Cu Kα).

Structural model:
Cell lengths 8.592, 8.592, 6.075 Å; angles 90.00, 90.00, 90.00 degrees
Fractional positions:
1 Mg 0.000 0.500 0.250
2 Mg 0.000 0.500 0.750
3 Mg 0.500 0.000 0.250
4 Mg 0.500 0.000 0.750
5 Sb 0.166 0.175 0.000
6 Sb 0.175 0.834 0.500
7 Sb 0.325 0.334 0.500
8 Sb 0.334 0.675 0.000
9 Sb 0.666 0.325 0.000
10 Sb 0.675 0.666 0.500
11 Sb 0.825 0.166 0.500
12 Sb 0.834 0.825 0.000
13 O 0.099 0.365 0.500
14 O 0.135 0.401 0.000
15 O 0.177 0.677 0.250
16 O 0.177 0.677 0.750
17 O 0.323 0.177 0.250
18 O 0.323 0.177 0.750
19 O 0.365 0.901 0.000
20 O 0.401 0.865 0.500
21 O 0.599 0.135 0.500
22 O 0.635 0.099 0.000
23 O 0.677 0.823 0.250
24 O 0.677 0.823 0.750
25 O 0.823 0.323 0.250
26 O 0.823 0.323 0.750
27 O 0.865 0.599 0.000
28 O 0.901 0.635 0.500

Largest 10 diffraction maxima, sorted by position, 2θ = 10–80°:
2θ (°)  intensity
20.68  25
27.47  100
29.40  24
32.97  17
36.22  14
44.75  14
46.05  32
50.98  18
54.46  20
64.13  11



Record 2
The following is a calculated powder XRD pattern of LaEuAl4. It was derived from a crystal structure in the Materials Project, relaxed with GGA-PBE, using λ = 1.5418 Å (Cu Kα).

Structural model:
Cell lengths 5.769, 5.769, 5.769 Å; angles 60.00, 60.00, 60.00 degrees
Fractional positions:
1 La 0.000 0.000 0.000
2 Eu 0.750 0.750 0.750
3 Al 0.375 0.375 0.375
4 Al 0.375 0.375 0.875
5 Al 0.375 0.875 0.375
6 Al 0.875 0.375 0.375

Largest 10 diffraction maxima, sorted by position, 2θ = 10–80°:
2θ (°)  intensity
18.84  56
31.00  97
36.53  100
48.65  15
55.15  38
58.81  33
64.62  22
67.98  11
73.40  16
76.58  11



Record 3
The following is a calculated powder XRD pattern of MgAg2. It was derived from a crystal structure in the Materials Project, relaxed with GGA-PBE, using λ = 1.5418 Å (Cu Kα).

Structural model:
Cell lengths 5.145, 5.145, 4.884 Å; angles 90.00, 90.00, 58.38 degrees
Fractional positions:
1 Mg 0.197 0.803 0.750
2 Mg 0.803 0.197 0.250
3 Ag 0.148 0.521 0.250
4 Ag 0.479 0.852 0.250
5 Ag 0.521 0.148 0.750
6 Ag 0.852 0.479 0.750

Largest 10 diffraction maxima, sorted by position, 2θ = 10–80°:
2θ (°)  intensity
19.77  20
27.35  33
34.89  12
35.79  19
36.81  36
39.61  100
40.41  28
52.28  13
68.18  19
75.92  14



Record 4
The following is a calculated powder XRD pattern of Tb2Pr2O5. It was derived from a crystal structure in the Materials Project, relaxed with GGA-PBE, using λ = 1.5418 Å (Cu Kα).

Structural model:
Cell lengths 4.393, 4.393, 7.883 Å; angles 90.00, 90.00, 90.00 degrees
Fractional positions:
1 Tb 0.000 0.000 0.231
2 Tb 0.000 0.000 0.769
3 Pr 0.500 0.500 0.000
4 Pr 0.500 0.500 0.500
5 O 0.000 0.000 0.500
6 O 0.000 0.500 0.240
7 O 0.000 0.500 0.760
8 O 0.500 0.000 0.240
9 O 0.500 0.000 0.760

Largest 10 diffraction maxima, sorted by position, 2θ = 10–80°:
2θ (°)  intensity
28.74  53
30.47  100
41.09  31
46.06  10
52.01  45
55.19  16
59.51  10
63.41  15
67.41  10
68.33  10



Record 5
The following is a calculated powder XRD pattern of SmMg. It was derived from a crystal structure in the Materials Project, relaxed with GGA-PBE, using λ = 1.5418 Å (Cu Kα).

Structural model:
Cell lengths 3.846, 3.846, 3.846 Å; angles 90.00, 90.00, 90.00 degrees
Fractional positions:
1 Sm 0.000 0.000 0.000
2 Mg 0.500 0.500 0.500

Largest 9 diffraction maxima, sorted by position, 2θ = 10–80°:
2θ (°)  intensity
23.12  61
32.93  100
40.63  19
47.26  18
53.25  26
58.80  38
69.07  12
73.92  12
78.66  16



What did the second record say?
The following is a calculated powder XRD pattern of LaEuAl4. It was derived from a crystal structure in the Materials Project, relaxed with GGA-PBE, using λ = 1.5418 Å (Cu Kα).

Structural model:
Cell lengths 5.769, 5.769, 5.769 Å; angles 60.00, 60.00, 60.00 degrees
Fractional positions:
1 La 0.000 0.000 0.000
2 Eu 0.750 0.750 0.750
3 Al 0.375 0.375 0.375
4 Al 0.375 0.375 0.875
5 Al 0.375 0.875 0.375
6 Al 0.875 0.375 0.375

Largest 10 diffraction maxima, sorted by position, 2θ = 10–80°:
2θ (°)  intensity
18.84  56
31.00  97
36.53  100
48.65  15
55.15  38
58.81  33
64.62  22
67.98  11
73.40  16
76.58  11